Structure and calculated powder diffractogram of Li2TiMn2NiO8 (a structure optimized by DFT (PBE+U); Cu Kα).
Neutral-atom scattering factors, no anomalous dispersion.

Cell and atoms:
a = 5.887 Å, b = 5.887 Å, c = 5.944 Å
α = 119.57°, β = 119.57°, γ = 59.69°
Sites, in units of the cell vectors:
Li  0.115  0.115  0.357
Li  0.885  0.885  0.643
Ti  0.500  0.500  0.000
Mn  0.000  0.500  0.000
Mn  0.500  0.000  0.000
Ni  0.500  0.500  0.500
O  0.248  0.711  0.216
O  0.255  0.255  0.219
O  0.259  0.259  0.786
O  0.289  0.752  0.784
O  0.711  0.248  0.216
O  0.741  0.741  0.214
O  0.745  0.745  0.781
O  0.752  0.289  0.784

Principal peaks in the range 2θ = 10–90°, by angle:
18.15 deg, d 4.888, intensity 33
18.45 deg, d 4.809, intensity 100
35.37 deg, d 2.538, intensity 10
35.54 deg, d 2.526, intensity 11
35.70 deg, d 2.515, intensity 29
37.40 deg, d 2.404, intensity 10
43.08 deg, d 2.100, intensity 25
43.37 deg, d 2.086, intensity 49
62.40 deg, d 1.488, intensity 14
63.18 deg, d 1.472, intensity 15